Starting from a PBE-relaxed structure, the PXRD pattern of LaGaNi was computed for CuKα.

Main lines, by intensity (2θ = 5–70°):
d (Å)  I_rel
2.340  100.0
2.737  73.9
2.254  68.4
3.036  55.9
2.920  54.1
2.417  48.6
3.060  44.4
2.370  40.4
2.986  39.7
2.100  36.6
2.790  32.8
2.061  32.0

Structural model:
Cell: 6.4227 7.6549 5.5819 Å, 90.00 114.14 90.00°
Sites, in units of the cell vectors:
La  0.1515  0.0978  0.3206
La  0.1515  0.4022  0.8206
La  0.8485  0.5978  0.1794
La  0.8485  0.9022  0.6794
Ga  0.3828  0.7457  0.6840
Ga  0.3828  0.7543  0.1840
Ga  0.6172  0.2457  0.8160
Ga  0.6172  0.2543  0.3160
Ni  0.3118  0.0401  0.8795
Ni  0.3118  0.4599  0.3795
Ni  0.6882  0.5401  0.6205
Ni  0.6882  0.9599  0.1205